# 1
For Sb2AsOs, a crystal structure in Alexandria, relaxed with GGA-PBE gives the simulated X-ray diffraction stick pattern in this record (copper Kα).
Neutral-atom scattering factors, no anomalous dispersion.

Peak list (8 most intense, 2θ from 15° to 90°, by angle)
2θ (°)	I/Imax
15.2	31
20.1	25
30.7	21
36.6	16
37.4	100
37.6	31
46.4	25
67.8	17

Atomic structure:
```
data_Sb2AsOs
_chemical_formula_sum 'Sb4 As2 Os2'
_cell_length_a 3.1647
_cell_length_b 4.7783
_cell_length_c 11.6452
_cell_angle_alpha 90.00
_cell_angle_beta 90.00
_cell_angle_gamma 90.00
_space_group_name_H-M_alt 'I m m 2'
_space_group_IT_number 44
_space_group_name_Hall 'I 2 -2'
loop_
_atom_site_label
_atom_site_type_symbol
_atom_site_fract_x
_atom_site_fract_y
_atom_site_fract_z
Sb1 Sb 0.0000 0.0000 0.0000
Sb2 Sb 0.0000 0.5000 0.1985
As1 As 0.0000 0.5000 0.8269
Os1 Os 0.0000 0.0000 0.4975
```

# 2
For Al4Fe, a crystal structure in Alexandria, relaxed with GGA-PBE gives the simulated X-ray diffraction stick pattern in this record (copper Kα).
Neutral-atom scattering factors, no anomalous dispersion.

Peak list (8 most intense, 2θ from 15° to 90°, by angle)
2θ (°)	I/Imax
20.3	83
20.9	53
21.9	74
23.0	61
23.2	65
42.1	100
44.6	53
45.1	56

Atomic structure:
```
data_Al4Fe
_chemical_formula_sum 'Al48 Fe12'
_cell_length_a 13.1519
_cell_length_b 11.3521
_cell_length_c 8.7256
_cell_angle_alpha 90.00
_cell_angle_beta 127.84
_cell_angle_gamma 90.00
_space_group_name_H-M_alt 'C 1 2/c 1'
_space_group_IT_number 15
_space_group_name_Hall '-C 2yc'
loop_
_atom_site_label
_atom_site_type_symbol
_atom_site_fract_x
_atom_site_fract_y
_atom_site_fract_z
Al1 Al 0.0000 0.1069 0.2500
Al2 Al 0.1023 0.4500 0.9616
Al3 Al 0.1120 0.2095 0.0769
Al4 Al 0.1208 0.3426 0.6463
Al5 Al 0.1256 0.1193 0.7889
Al6 Al 0.2253 0.0297 0.6182
Al7 Al 0.2500 0.2500 0.5000
Fe1 Fe 0.0000 0.2792 0.7500
Fe2 Fe 0.2070 0.0736 0.3380
```

# 3
For La2Ce2CN2, a crystal structure in Alexandria, relaxed with GGA-PBE gives the simulated X-ray diffraction stick pattern in this record (copper Kα).
Neutral-atom scattering factors, no anomalous dispersion.

Peak list (8 most intense, 2θ from 15° to 90°, by angle)
2θ (°)	I/Imax
28.3	18
28.6	64
31.5	100
32.0	68
32.5	29
41.1	19
50.4	26
52.1	22

Atomic structure:
```
data_La2Ce2CN2
_chemical_formula_sum 'La4 Ce4 C2 N4'
_cell_length_a 13.7636
_cell_length_b 3.6552
_cell_length_c 6.2617
_cell_angle_alpha 90.00
_cell_angle_beta 114.81
_cell_angle_gamma 90.00
_space_group_name_H-M_alt 'C 1 2/m 1'
_space_group_IT_number 12
_space_group_name_Hall '-C 2y'
loop_
_atom_site_label
_atom_site_type_symbol
_atom_site_fract_x
_atom_site_fract_y
_atom_site_fract_z
La1 La 0.1264 0.0000 0.2895
Ce1 Ce 0.1358 0.5000 0.8212
C1 C 0.0000 0.5000 0.0000
N1 N 0.2385 0.0000 0.7697
```

# 4
For Co5PdSe8, a crystal structure in Alexandria, relaxed with GGA-PBE gives the simulated X-ray diffraction stick pattern in this record (copper Kα).
Neutral-atom scattering factors, no anomalous dispersion.

Peak list (8 most intense, 2θ from 15° to 90°, by angle)
2θ (°)	I/Imax
25.2	26
29.7	51
31.0	40
36.0	69
47.3	42
51.8	100
76.3	14
87.3	15

Atomic structure:
```
data_Co5PdSe8
_chemical_formula_sum 'Co20 Pd4 Se32'
_cell_length_a 9.9876
_cell_length_b 9.9876
_cell_length_c 9.9876
_cell_angle_alpha 90.00
_cell_angle_beta 90.00
_cell_angle_gamma 90.00
_space_group_name_H-M_alt 'F -4 3 m'
_space_group_IT_number 216
_space_group_name_Hall 'F -4 2 3'
loop_
_atom_site_label
_atom_site_type_symbol
_atom_site_fract_x
_atom_site_fract_y
_atom_site_fract_z
Co1 Co 0.0000 0.0000 0.0000
Co2 Co 0.1260 0.1260 0.6260
Pd1 Pd 0.2500 0.2500 0.2500
Se1 Se 0.1098 0.1098 0.3902
Se2 Se 0.1325 0.1325 0.8675
```

# 5
For YH4Os, a crystal structure in Alexandria, relaxed with GGA-PBE gives the simulated X-ray diffraction stick pattern in this record (copper Kα).
Neutral-atom scattering factors, no anomalous dispersion.

Peak list (8 most intense, 2θ from 15° to 90°, by angle)
2θ (°)	I/Imax
27.4	94
30.7	47
33.2	100
41.2	31
42.1	25
43.1	24
48.9	31
67.2	24

Atomic structure:
```
data_YH4Os
_chemical_formula_sum 'Y4 H16 Os4'
_cell_length_a 4.2886
_cell_length_b 6.2034
_cell_length_c 8.3950
_cell_angle_alpha 90.00
_cell_angle_beta 90.00
_cell_angle_gamma 90.00
_space_group_name_H-M_alt 'C m c m'
_space_group_IT_number 63
_space_group_name_Hall '-C 2c 2'
loop_
_atom_site_label
_atom_site_type_symbol
_atom_site_fract_x
_atom_site_fract_y
_atom_site_fract_z
Y1 Y 0.0000 0.0000 0.0000
H1 H 0.0000 0.3547 0.0473
H2 H 0.2477 0.1017 0.2500
Os1 Os 0.0000 0.3501 0.2500
```

# 6
For Tl4AsO5, a crystal structure in Alexandria, relaxed with GGA-PBE gives the simulated X-ray diffraction stick pattern in this record (copper Kα).
Neutral-atom scattering factors, no anomalous dispersion.

Peak list (8 most intense, 2θ from 15° to 90°, by angle)
2θ (°)	I/Imax
29.3	100
33.0	39
35.6	18
47.4	14
49.4	25
56.7	34
60.1	15
60.7	13

Atomic structure:
```
data_Tl4AsO5
_chemical_formula_sum 'Tl8 As2 O10'
_cell_length_a 8.5757
_cell_length_b 8.5757
_cell_length_c 5.0392
_cell_angle_alpha 90.00
_cell_angle_beta 90.00
_cell_angle_gamma 90.00
_space_group_name_H-M_alt 'I 4'
_space_group_IT_number 79
_space_group_name_Hall 'I 4'
loop_
_atom_site_label
_atom_site_type_symbol
_atom_site_fract_x
_atom_site_fract_y
_atom_site_fract_z
Tl1 Tl 0.0791 0.2979 0.0000
As1 As 0.0000 0.0000 0.4908
O1 O 0.0000 0.0000 0.1386
O2 O 0.1310 0.1625 0.5692
```

# 7
For TbPr2Ni2, a crystal structure in Alexandria, relaxed with GGA-PBE gives the simulated X-ray diffraction stick pattern in this record (copper Kα).
Neutral-atom scattering factors, no anomalous dispersion.

Peak list (8 most intense, 2θ from 15° to 90°, by angle)
2θ (°)	I/Imax
28.5	63
31.4	92
32.7	100
33.7	57
34.8	60
35.0	75
37.7	78
56.3	53

Atomic structure:
```
data_TbPr2Ni2
_chemical_formula_sum 'Tb4 Pr8 Ni8'
_cell_length_a 12.8385
_cell_length_b 3.8484
_cell_length_c 11.3106
_cell_angle_alpha 90.00
_cell_angle_beta 118.95
_cell_angle_gamma 90.00
_space_group_name_H-M_alt 'C 1 2/m 1'
_space_group_IT_number 12
_space_group_name_Hall '-C 2y'
loop_
_atom_site_label
_atom_site_type_symbol
_atom_site_fract_x
_atom_site_fract_y
_atom_site_fract_z
Tb1 Tb 0.2066 0.0000 0.3600
Pr1 Pr 0.0432 0.5000 0.6910
Pr2 Pr 0.1613 0.5000 0.0700
Ni1 Ni 0.0039 0.0000 0.8861
Ni2 Ni 0.1146 0.0000 0.5470
```

# 8
For Al2GaIr, a crystal structure in Alexandria, relaxed with GGA-PBE gives the simulated X-ray diffraction stick pattern in this record (copper Kα).
Neutral-atom scattering factors, no anomalous dispersion.

Peak list (8 most intense, 2θ from 15° to 90°, by angle)
2θ (°)	I/Imax
19.7	49
22.3	91
28.8	95
34.9	37
40.5	100
43.3	53
46.2	29
52.4	39

Atomic structure:
```
data_Al2GaIr
_chemical_formula_sum 'Al4 Ga2 Ir2'
_cell_length_a 3.6334
_cell_length_b 7.9764
_cell_length_c 4.8613
_cell_angle_alpha 90.00
_cell_angle_beta 111.81
_cell_angle_gamma 90.00
_space_group_name_H-M_alt 'P 1 21/m 1'
_space_group_IT_number 11
_space_group_name_Hall '-P 2yb'
loop_
_atom_site_label
_atom_site_type_symbol
_atom_site_fract_x
_atom_site_fract_y
_atom_site_fract_z
Al1 Al 0.1440 0.0461 0.2870
Ga1 Ga 0.4478 0.2500 0.8953
Ir1 Ir 0.2701 0.7500 0.5384
```